Structure and computed powder diffraction line list of CuTeAu2 (a crystal structure in Alexandria, relaxed with GGA-PBE; Cu Kα, 1.54184 Å).
Neutral-atom scattering factors, no anomalous dispersion.

Largest 8 diffraction maxima, in order of rising 2θ, 2θ = 10–90°:
hkl 2 0 0, 2θ = 22.2°, d = 4.002 Å, I = 18
hkl 2 0 1, 2θ = 27.9°, d = 3.199 Å, I = 19
hkl 2 0 -2, 2θ = 33.1°, d = 2.706 Å, I = 55
hkl 1 1 1, 2θ = 34.8°, d = 2.576 Å, I = 100
hkl 2 0 2, 2θ = 38.3°, d = 2.349 Å, I = 25
hkl 4 0 0, 2θ = 45.3°, d = 2.001 Å, I = 25
hkl 3 1 -1, 2θ = 45.6°, d = 1.987 Å, I = 54
hkl 1 1 -3, 2θ = 51.8°, d = 1.764 Å, I = 19

Structural model:
```
data_CuTeAu2
_chemical_formula_sum 'Cu2 Te2 Au4'
_symmetry_space_group_name_H-M 'C 1 2/m 1'
_symmetry_Int_Tables_number 12
_symmetry_space_group_name_Hall '-C 2y'
_cell_length_a 8.0879
_cell_length_b 3.0811
_cell_length_c 6.5069
_cell_angle_alpha 90.00
_cell_angle_beta 98.28
_cell_angle_gamma 90.00
loop_
_atom_site_label
_atom_site_fract_x
_atom_site_fract_y
_atom_site_fract_z
Cu1 0.0000 0.0000 0.0000
Te1 0.0000 0.5000 0.5000
Au1 0.2345 0.5000 0.1952
```